[1]
This entry pairs a crystal structure of InBiO3 with its theoretical XRD peak list. Radiation: a wavelength of 1.5418 Å. Structure: a PBE-relaxed structure.

Main lines, most intense first (2θ from 10° to 90°):
hkl 1 2 1, 30.6 deg, d = 2.919 Å, I 100; hkl 1 2 3, 55.6 deg, d = 1.654 Å, I 25; hkl 2 0 0, 29.3 deg, d = 3.048 Å, I 25; hkl 0 0 2, 31.5 deg, d = 2.839 Å, I 23; hkl 2 0 2, 43.6 deg, d = 2.077 Å, I 19; hkl 3 2 1, 52.8 deg, d = 1.734 Å, I 16; hkl 0 4 0, 44.2 deg, d = 2.051 Å, I 12; hkl 2 4 2, 63.8 deg, d = 1.460 Å, I 12; hkl 0 4 2, 55.3 deg, d = 1.663 Å, I 11; hkl 2 4 0, 53.9 deg, d = 1.702 Å, I 10; hkl 1 6 1, 72.8 deg, d = 1.299 Å, I 9; hkl 3 1 1, 48.9 deg, d = 1.863 Å, I 9

Cell: 6.096 8.204 5.678 Å, 90.00 90.00 90.00°
Space group Pnma (No. 62)
Inequivalent atoms, fractional coordinates:
In: 0.000 0.000 0.000 [4 per cell]
Bi: 0.045 0.250 0.488 [4 per cell]
O: 0.050 0.750 0.133 [4 per cell]
O: 0.184 0.558 0.672 [8 per cell]



[2]
This entry pairs a crystal structure of LiMoS2 with its theoretical XRD peak list. Radiation: a wavelength of 1.5418 Å. Structure: a PBE-relaxed structure.

Main lines, most intense first (2θ from 10° to 90°):
hkl 1 0 0, 14.1 deg, d = 6.277 Å, I 100; hkl -1 2 2, 34.1 deg, d = 2.630 Å, I 23; hkl 1 2 0, 33.8 deg, d = 2.651 Å, I 21; hkl 1 0 2, 33.3 deg, d = 2.690 Å, I 21; hkl 2 0 2, 41.8 deg, d = 2.160 Å, I 17; hkl 2 2 2, 42.4 deg, d = 2.134 Å, I 16; hkl 3 2 2, 54.0 deg, d = 1.699 Å, I 16; hkl -2 2 2, 42.5 deg, d = 2.127 Å, I 11; hkl 2 2 0, 42.2 deg, d = 2.141 Å, I 10; hkl 3 0 -2, 53.5 deg, d = 1.712 Å, I 9; hkl 0 0 1, 14.9 deg, d = 5.955 Å, I 7; hkl 3 0 0, 43.3 deg, d = 2.090 Å, I 6

Cell: 6.277 6.672 6.802 Å, 61.09 89.90 89.80°
Space group P-1 (No. 2)
Inequivalent atoms, fractional coordinates:
Li: 0.010 0.482 0.290 [2 per cell]
Li: 0.021 0.991 0.260 [2 per cell]
Mo: 0.496 0.943 0.808 [2 per cell]
Mo: 0.500 0.492 0.210 [2 per cell]
S: 0.227 0.655 0.931 [2 per cell]
S: 0.254 0.182 0.895 [2 per cell]
S: 0.282 0.152 0.431 [2 per cell]
S: 0.302 0.678 0.409 [2 per cell]



[3]
This entry pairs a crystal structure of SbH3CS2N with its theoretical XRD peak list. Radiation: a wavelength of 1.5418 Å. Structure: a PBE-relaxed structure.

Main lines, most intense first (2θ from 10° to 90°):
hkl 1 0 -1, 13.9 deg, d = 6.362 Å, I 100; hkl 2 -1 0, 24.8 deg, d = 3.584 Å, I 73; hkl 0 2 0, 23.3 deg, d = 3.824 Å, I 72; hkl -1 1 1, 15.6 deg, d = 5.670 Å, I 69; hkl 0 1 -1, 13.5 deg, d = 6.582 Å, I 66; hkl 0 0 4, 32.3 deg, d = 2.768 Å, I 56; hkl 0 1 1, 14.7 deg, d = 6.039 Å, I 56; hkl 1 2 -1, 30.2 deg, d = 2.955 Å, I 44; hkl 1 -1 2, 22.5 deg, d = 3.943 Å, I 32; hkl 1 0 3, 29.7 deg, d = 3.012 Å, I 27; hkl 1 0 -2, 18.6 deg, d = 4.762 Å, I 25; hkl -3 1 1, 36.9 deg, d = 2.438 Å, I 23

Cell: 7.325 8.119 11.287 Å, 91.73 99.83 108.93°
Space group P-1 (No. 2)
Inequivalent atoms, fractional coordinates:
Sb: 0.056 0.203 0.364 [2 per cell]
Sb: 0.364 0.772 0.869 [2 per cell]
H: 0.038 0.266 0.966 [2 per cell]
H: 0.078 0.273 0.811 [2 per cell]
H: 0.264 0.206 0.661 [2 per cell]
H: 0.298 0.700 0.443 [2 per cell]
H: 0.384 0.172 0.874 [2 per cell]
H: 0.395 0.756 0.308 [2 per cell]
C: 0.182 0.505 0.922 [2 per cell]
C: 0.266 0.499 0.317 [2 per cell]
S: 0.063 0.841 0.870 [2 per cell]
S: 0.069 0.174 0.633 [2 per cell]
S: 0.246 0.743 0.625 [2 per cell]
S: 0.437 0.844 0.119 [2 per cell]
N: 0.098 0.341 0.898 [2 per cell]
N: 0.326 0.658 0.360 [2 per cell]



[4]
This entry pairs a crystal structure of Cd2GaAgSe2S2 with its theoretical XRD peak list. Radiation: a wavelength of 1.5418 Å. Structure: a PBE-relaxed structure.

Main lines, most intense first (2θ from 10° to 90°):
hkl 0 1 1, 24.6 deg, d = 3.625 Å, I 100; hkl 1 0 2, 27.7 deg, d = 3.220 Å, I 90; hkl 2 0 0, 25.8 deg, d = 3.452 Å, I 81; hkl 0 1 3, 42.8 deg, d = 2.111 Å, I 80; hkl 3 0 2, 46.9 deg, d = 1.939 Å, I 60; hkl 3 1 -1, 46.6 deg, d = 1.948 Å, I 47; hkl 0 0 2, 24.2 deg, d = 3.672 Å, I 46; hkl 1 1 1, 27.9 deg, d = 3.202 Å, I 44; hkl 0 2 0, 43.4 deg, d = 2.084 Å, I 41; hkl 2 1 -3, 50.5 deg, d = 1.808 Å, I 24; hkl 2 2 0, 51.2 deg, d = 1.784 Å, I 23; hkl 2 1 -1, 35.9 deg, d = 2.505 Å, I 22

Cell: 6.904 4.168 7.344 Å, 90.00 90.63 90.00°
Space group Pm (No. 6)
Inequivalent atoms, fractional coordinates:
Cd: 0.000 0.000 0.000 [1 per cell]
Cd: 0.469 0.000 0.331 [1 per cell]
Ga: 0.977 0.500 0.506 [1 per cell]
Ag: 0.460 0.500 0.855 [1 per cell]
Se: 0.328 0.500 0.514 [1 per cell]
Se: 0.844 0.500 0.813 [1 per cell]
S: 0.360 0.000 0.010 [1 per cell]
S: 0.860 0.000 0.353 [1 per cell]



[5]
This entry pairs a crystal structure of Ti10CrSb5 with its theoretical XRD peak list. Radiation: a wavelength of 1.5418 Å. Structure: a PBE-relaxed structure.

Main lines, most intense first (2θ from 10° to 90°):
hkl 4 1 1, 39.3 deg, d = 2.295 Å, I 100; hkl 2 0 2, 38.3 deg, d = 2.351 Å, I 92; hkl 2 1 1, 25.4 deg, d = 3.505 Å, I 65; hkl 3 3 2, 50.6 deg, d = 1.803 Å, I 35; hkl 5 2 1, 49.8 deg, d = 1.831 Å, I 25; hkl 3 2 1, 35.2 deg, d = 2.551 Å, I 23; hkl 3 1 0, 26.8 deg, d = 3.327 Å, I 22; hkl 4 0 2, 49.0 deg, d = 1.859 Å, I 22; hkl 4 1 3, 64.5 deg, d = 1.444 Å, I 22; hkl 6 4 2, 74.4 deg, d = 1.275 Å, I 21; hkl 3 3 0, 36.2 deg, d = 2.479 Å, I 21; hkl 0 0 2, 34.1 deg, d = 2.627 Å, I 19

Cell: 10.519 10.519 5.254 Å, 90.00 90.00 90.00°
Space group I422 (No. 97)
Inequivalent atoms, fractional coordinates:
Ti: 0.000 0.500 0.000 [4 per cell]
Ti: 0.075 0.216 0.265 [16 per cell]
Cr: 0.000 0.000 0.500 [2 per cell]
Sb: 0.000 0.000 0.000 [2 per cell]
Sb: 0.163 0.337 0.750 [8 per cell]



[6]
This entry pairs a crystal structure of LiWN2 with its theoretical XRD peak list. Radiation: a wavelength of 1.5418 Å. Structure: a PBE-relaxed structure.

Main lines, most intense first (2θ from 10° to 90°):
hkl 0 0 3, 16.4 deg, d = 5.403 Å, I 100; hkl 0 1 2, 36.8 deg, d = 2.445 Å, I 45; hkl 1 0 1, 35.4 deg, d = 2.533 Å, I 36; hkl 0 1 5, 45.1 deg, d = 2.011 Å, I 31; hkl 1 0 4, 41.7 deg, d = 2.167 Å, I 24; hkl 1 0 7, 53.3 deg, d = 1.719 Å, I 17; hkl 1 1 3, 65.4 deg, d = 1.428 Å, I 16; hkl 0 0 6, 33.2 deg, d = 2.702 Å, I 14; hkl 1 1 0, 62.8 deg, d = 1.480 Å, I 12; hkl 0 1 8, 58.0 deg, d = 1.590 Å, I 11; hkl 1 1 6, 72.9 deg, d = 1.298 Å, I 10; hkl 0 2 1, 74.2 deg, d = 1.278 Å, I 9

Cell: 2.9609 2.9609 16.2101 Å, 90.00 90.00 120.00°
Space group R3m (No. 160, hexagonal axes)
Inequivalent atoms, fractional coordinates:
Li: 0.0000 0.0000 0.0000 [3 per cell]
W: 0.0000 0.0000 0.8258 [3 per cell]
N: 0.0000 0.0000 0.2330 [3 per cell]
N: 0.0000 0.0000 0.4176 [3 per cell]



[7]
This entry pairs a crystal structure of NdPd2O4 with its theoretical XRD peak list. Radiation: a wavelength of 1.5418 Å. Structure: a PBE-relaxed structure.

Main lines, most intense first (2θ from 10° to 90°):
hkl 1 2 1, 34.9 deg, d = 2.572 Å, I 100; hkl 1 0 3, 30.1 deg, d = 2.968 Å, I 44; hkl 2 2 4, 56.6 deg, d = 1.626 Å, I 39; hkl 1 1 2, 27.4 deg, d = 3.252 Å, I 24; hkl 1 0 5, 46.8 deg, d = 1.942 Å, I 23; hkl 4 2 2, 73.7 deg, d = 1.286 Å, I 16; hkl 4 0 0, 62.6 deg, d = 1.485 Å, I 15; hkl 3 1 2, 51.8 deg, d = 1.764 Å, I 12; hkl 3 0 3, 53.4 deg, d = 1.714 Å, I 12; hkl 4 1 3, 71.0 deg, d = 1.328 Å, I 10; hkl 3 2 7, 89.3 deg, d = 1.096 Å, I 8; hkl 1 4 5, 81.6 deg, d = 1.180 Å, I 8

Cell: 5.941 5.941 10.275 Å, 90.00 90.00 90.00°
Space group I4_1/a (No. 88, origin choice 2)
Inequivalent atoms, fractional coordinates:
Nd: 0.000 0.250 0.125 [4 per cell]
Pd: 0.000 0.000 0.500 [8 per cell]
O: 0.152 0.449 0.324 [16 per cell]